Entry 1:
LiNF4: theoretical X-ray powder pattern (Cu Kα, 1.54184 Å), based on DFT lattice parameters and positions (PBE).
Lines closer than 0.1° are merged.

Top 10 peaks for 2θ = 10–90°, by intensity:
d (Å)	intensity
3.801	100
3.192	93
4.358	69
2.973	35
2.878	34
2.050	22
1.893	20
2.491	16
2.621	14
1.747	12

Cell and atoms:
Cell lengths 5.407, 6.149, 6.518 Å; angles 61.93, 80.58, 69.47 degrees
Positions (direct):
1 Li 0.250 0.004 0.493
2 Li 0.750 0.996 0.507
3 N 0.250 0.398 0.704
4 N 0.750 0.602 0.296
5 F 0.064 0.301 0.851
6 F 0.073 0.752 0.659
7 F 0.427 0.090 0.658
8 F 0.436 0.349 0.851
9 F 0.564 0.651 0.149
10 F 0.573 0.910 0.342
11 F 0.927 0.248 0.341
12 F 0.936 0.699 0.149

---

Entry 2:
Li7N2F2: theoretical X-ray powder pattern (Cu Kα, 1.54184 Å), based on DFT lattice parameters and positions (PBE).
Lines closer than 0.1° are merged.

Top 10 peaks for 2θ = 10–90°, by intensity:
d (Å)	intensity
2.749	100
2.889	92
1.739	33
1.735	32
4.810	28
1.766	22
1.642	14
2.512	13
1.492	10
2.405	9

Cell and atoms:
Cell lengths 4.822, 4.822, 5.025 Å; angles 90.13, 90.13, 85.85 degrees
Positions (direct):
1 Li 0.000 0.000 0.000
2 Li 0.001 0.501 0.243
3 Li 0.499 0.999 0.757
4 Li 0.500 0.500 0.235
5 Li 0.500 0.500 0.765
6 Li 0.501 0.001 0.243
7 Li 0.999 0.499 0.757
8 N 0.271 0.271 0.000
9 N 0.729 0.729 0.000
10 F 0.282 0.718 0.500
11 F 0.718 0.282 0.500

---

Question: Which formula does entry 2 have?
Answer: Li7N2F2

---

What did the first record say?
LiNF4: theoretical X-ray powder pattern (Cu Kα, 1.54184 Å), based on DFT lattice parameters and positions (PBE).
Lines closer than 0.1° are merged.

Top 10 peaks for 2θ = 10–90°, by intensity:
d (Å)	intensity
3.801	100
3.192	93
4.358	69
2.973	35
2.878	34
2.050	22
1.893	20
2.491	16
2.621	14
1.747	12

Cell and atoms:
Cell lengths 5.407, 6.149, 6.518 Å; angles 61.93, 80.58, 69.47 degrees
Positions (direct):
1 Li 0.250 0.004 0.493
2 Li 0.750 0.996 0.507
3 N 0.250 0.398 0.704
4 N 0.750 0.602 0.296
5 F 0.064 0.301 0.851
6 F 0.073 0.752 0.659
7 F 0.427 0.090 0.658
8 F 0.436 0.349 0.851
9 F 0.564 0.651 0.149
10 F 0.573 0.910 0.342
11 F 0.927 0.248 0.341
12 F 0.936 0.699 0.149